Mg3Al12FeSi4B4O36: simulated powder diffraction line list (Cu Kα X-rays), based on the PBE+U geometry in Alexandria.

Largest 6 diffraction maxima, by angle, 2θ = 5–70°:
- 2θ = 15.93°, I 71, hkl 0 0 2
- 2θ = 17.01°, I 86, hkl 2 0 0
- 2θ = 17.43°, I 100, hkl 1 1 0
- 2θ = 23.69°, I 37, hkl 1 1 2
- 2θ = 32.17°, I 56, hkl 0 0 4
- 2θ = 41.23°, I 28, hkl 3 2 -1

Cell lengths 10.425, 5.831, 11.130 Å; angles 90.00, 90.15, 90.00 degrees
Element x y z (fractional)
Mg: 0.000 0.000 0.000
Mg: 0.183 0.500 0.439
Mg: 0.684 0.000 0.499
Al: 0.091 0.250 0.220
Al: 0.091 0.750 0.220
Al: 0.092 0.250 0.720
Al: 0.092 0.750 0.720
Al: 0.318 0.500 0.666
Al: 0.365 0.500 0.168
Al: 0.592 0.250 0.221
Al: 0.592 0.750 0.221
Al: 0.593 0.250 0.717
Al: 0.593 0.750 0.717
Al: 0.818 0.000 0.272
Al: 0.866 0.000 0.771
Fe: 0.500 0.500 0.938
Si: 0.026 0.000 0.456
Si: 0.156 0.500 0.984
Si: 0.525 0.500 0.483
Si: 0.660 0.000 0.956
B: 0.341 0.000 0.718
B: 0.343 0.000 0.219
B: 0.840 0.500 0.221
B: 0.844 0.500 0.720
O: 0.046 0.000 0.819
O: 0.064 0.000 0.600
O: 0.085 0.227 0.390
O: 0.085 0.773 0.390
O: 0.097 0.273 0.049
O: 0.097 0.727 0.049
O: 0.119 0.500 0.840
O: 0.139 0.500 0.620
O: 0.210 0.500 0.243
O: 0.213 0.000 0.216
O: 0.273 0.204 0.719
O: 0.273 0.796 0.719
O: 0.314 0.500 0.011
O: 0.366 0.500 0.507
O: 0.411 0.204 0.220
O: 0.411 0.796 0.220
O: 0.471 0.000 0.714
O: 0.475 0.500 0.737
O: 0.545 0.500 0.123
O: 0.564 0.500 0.340
O: 0.585 0.272 0.547
O: 0.585 0.728 0.547
O: 0.600 0.225 0.888
O: 0.600 0.775 0.888
O: 0.620 0.000 0.099
O: 0.639 0.000 0.319
O: 0.711 0.000 0.695
O: 0.714 0.500 0.722
O: 0.772 0.296 0.220
O: 0.772 0.704 0.220
O: 0.818 0.000 0.930
O: 0.867 0.000 0.431
O: 0.912 0.296 0.720
O: 0.912 0.704 0.720
O: 0.970 0.500 0.224
O: 0.973 0.000 0.197